# LaPm2NdY
Computed powder diffractogram, CuKα. Input: a GGA-PBE-relaxed structure.
Neutral-atom scattering factors, no anomalous dispersion.

Crystal structure
a = 7.293 Å, b = 7.293 Å, c = 7.292 Å
α = 90.00°, β = 90.00°, γ = 108.57°
Fractional positions:
La: 0.229 0.771 0.750
La: 0.771 0.229 0.250
Pm: 0.189 0.189 0.000
Pm: 0.189 0.189 0.500
Pm: 0.811 0.811 0.000
Pm: 0.811 0.811 0.500
Nd: 0.488 0.512 0.750
Nd: 0.512 0.488 0.250
Y: 0.230 0.770 0.250
Y: 0.770 0.230 0.750

Largest 6 diffraction maxima, low angle first, 5 to 70 degrees two-theta:
- 2θ = 27.66°, rel. 45
- 2θ = 28.76°, rel. 55
- 2θ = 30.18°, rel. 70
- 2θ = 32.33°, rel. 100
- 2θ = 35.12°, rel. 53
- 2θ = 44.81°, rel. 71